The following is a simulated powder XRD pattern of Ho2Mo4O15. It was derived from a structure optimized by DFT (PBE+U), using a wavelength of 1.5418 Å.
Intensities are scaled so that the largest is 100.

Most intense lines, 10 to 90 degrees two-theta, by angle:
2θ 19.80, rel. 59, hkl 1 1 1; 2θ 20.88, rel. 35, hkl 1 1 -2; 2θ 24.24, rel. 28, hkl 1 0 2; 2θ 25.11, rel. 100, hkl 0 2 2; 2θ 26.32, rel. 45, hkl 1 2 -2; 2θ 27.50, rel. 31, hkl 2 1 -1; 2θ 27.83, rel. 32, hkl 2 0 -2; 2θ 30.75, rel. 22, hkl 1 3 0; 2θ 32.60, rel. 24, hkl 2 2 0; 2θ 33.60, rel. 32, hkl 1 0 -4

Atomic structure:
```
data_Ho2Mo4O15
_chemical_formula_sum 'Ho4 Mo8 O30'
_cell_length_a 6.899
_cell_length_b 9.693
_cell_length_c 10.769
_cell_angle_alpha 90.00
_cell_angle_beta 104.86
_cell_angle_gamma 90.00
_space_group_name_H-M_alt 'P 1 21/c 1'
_space_group_IT_number 14
_space_group_name_Hall '-P 2ybc'
loop_
_atom_site_label
_atom_site_type_symbol
_atom_site_fract_x
_atom_site_fract_y
_atom_site_fract_z
Ho1 Ho 0.206 0.023 0.275
Mo1 Mo 0.080 0.743 0.009
Mo2 Mo 0.384 0.095 0.843
O1 O 0.029 0.127 0.400
O2 O 0.116 0.163 0.100
O3 O 0.126 0.052 0.814
O4 O 0.218 0.651 0.917
O5 O 0.243 0.636 0.618
O6 O 0.385 0.223 0.348
O7 O 0.457 0.027 0.709
O8 O 0.500 0.000 0.000
```